For Li4Mn8O9F7, the PBE+U geometry in Alexandria gives the simulated X-ray powder pattern in this record (λ = 1.5418 Å (Cu Kα)).
No peak broadening, texture or thermal motion is included.

Crystal structure
Lattice parameters (Å, degrees): 5.8427 6.2105 10.9195 75.08 74.73 62.41
Atoms (fractional coordinates):
Li: 0.0000 0.0000 0.0000
Li: 0.0893 0.2285 0.6019
Li: 0.4960 0.5026 0.5010
Li: 0.6135 0.7093 0.1120
Mn: 0.0356 0.1322 0.2939
Mn: 0.0425 0.6090 0.2980
Mn: 0.0483 0.6133 0.7997
Mn: 0.2821 0.3747 0.0543
Mn: 0.5432 0.1127 0.3011
Mn: 0.5456 0.1125 0.8037
Mn: 0.5487 0.6121 0.8005
Mn: 0.7939 0.8652 0.5503
O: 0.1770 0.2662 0.3924
O: 0.2046 0.6925 0.9106
O: 0.3875 0.0342 0.1917
O: 0.4095 0.4813 0.7056
O: 0.6887 0.7427 0.8942
O: 0.7032 0.1888 0.4117
O: 0.8909 0.5383 0.6869
O: 0.9125 0.9589 0.2121
O: 0.9354 0.5044 0.1861
F: 0.1702 0.2215 0.9320
F: 0.1719 0.7035 0.4226
F: 0.4112 0.0080 0.6687
F: 0.4378 0.4938 0.1757
F: 0.6607 0.7277 0.4329
F: 0.6744 0.2245 0.9354
F: 0.9200 0.0080 0.6681

Top 10 peaks for 2θ = 5–70°, in order of rising 2θ:
d 5.200, I 63, hkl 0 0 2
d 5.164, I 54, hkl 0 1 1
d 4.910, I 100, hkl 1 1 0
d 2.733, I 18, hkl 0 1 -3
d 2.717, I 16, hkl 0 2 0
d 2.664, I 26, hkl -1 1 2
d 2.266, I 55, hkl 0 2 -2
d 2.152, I 46, hkl 2 0 -2
d 2.137, I 45, hkl 2 2 4
d 1.561, I 30, hkl 2 0 6